(1)
Structure and calculated PXRD pattern of RbTlTcO5 (DFT lattice parameters and positions (GGA-PBE); Cu Ka).

Principal peaks in the range 10° ≤ 2θ ≤ 80°, by angle:
Position (°2θ), Rel. int.
14.11, 39
23.32, 79
23.93, 73
26.88, 100
28.69, 59
30.91, 26
31.61, 29
36.22, 35
42.31, 24
43.23, 30

Cell and atoms:
```
RbTlTcO5
1.0
4.055 -5.525 0.000
4.055 5.525 0.000
-2.711 0.000 7.530
Rb Tl Tc O
2 2 2 10
Direct
0.176 0.824 0.750 Rb
0.824 0.176 0.250 Rb
0.500 0.500 0.000 Tl
0.500 0.500 0.500 Tl
0.177 0.823 0.250 Tc
0.823 0.177 0.750 Tc
0.060 0.230 0.912 O
0.157 0.618 0.354 O
0.230 0.060 0.412 O
0.382 0.843 0.146 O
0.433 0.567 0.750 O
0.567 0.433 0.250 O
0.618 0.157 0.854 O
0.770 0.940 0.588 O
0.843 0.382 0.646 O
0.940 0.770 0.088 O
```

***

(2)
Structure and calculated PXRD pattern of Rb2TlTc2O6 (DFT lattice parameters and positions (GGA-PBE); Cu Ka).

Principal peaks in the range 10° ≤ 2θ ≤ 80°, by angle:
Position (°2θ), Rel. int.
17.96, 29
26.61, 100
27.55, 89
38.68, 41
46.40, 18
48.15, 36
48.72, 19
56.88, 17
62.43, 16
63.89, 21

Cell and atoms:
```
Rb2TlTc2O6
1.0
3.237 1.869 6.961
-3.237 1.869 6.961
0.000 -3.738 6.961
Rb Tl Tc O
2 1 2 6
Direct
0.206 0.206 0.206 Rb
0.794 0.794 0.794 Rb
0.000 0.000 0.000 Tl
0.415 0.415 0.415 Tc
0.585 0.585 0.585 Tc
0.262 0.730 0.730 O
0.270 0.270 0.738 O
0.270 0.738 0.270 O
0.730 0.262 0.730 O
0.730 0.730 0.262 O
0.738 0.270 0.270 O
```

***

(3)
Structure and calculated PXRD pattern of RbTl2Tc2O7 (DFT lattice parameters and positions (GGA-PBE); Cu Ka).

Principal peaks in the range 10° ≤ 2θ ≤ 80°, by angle:
Position (°2θ), Rel. int.
10.73, 30
24.39, 100
28.60, 74
30.62, 21
37.93, 26
40.08, 17
43.89, 16
48.18, 29
50.65, 19
64.99, 13

Cell and atoms:
```
RbTl2Tc2O7
1.0
3.121 1.802 8.247
-3.121 1.802 8.247
0.000 -3.604 8.247
Rb Tl Tc O
1 2 2 7
Direct
0.000 0.000 0.000 Rb
0.204 0.204 0.204 Tl
0.796 0.796 0.796 Tl
0.425 0.425 0.425 Tc
0.575 0.575 0.575 Tc
0.111 0.445 0.660 O
0.340 0.555 0.889 O
0.445 0.660 0.111 O
0.500 0.500 0.500 O
0.555 0.889 0.340 O
0.660 0.111 0.445 O
0.889 0.340 0.555 O
```